Record 1
Simulated PXRD pattern of CsAuC2S2N2 for Cu Kα, from DFT lattice parameters and positions (GGA-PBE).
Peak positions follow from Bragg's law for the DFT cell and can differ from measured ones.

Top 10 peaks for 10 to 90 degrees two-theta, low angle first:
hkl 0 0 2, 10.3°, d 8.570, I 76
hkl 2 0 0, 14.0°, d 6.331, I 44
hkl 2 0 -2, 14.7°, d 6.015, I 75
hkl 2 0 2, 19.7°, d 4.495, I 100
hkl 2 0 -4, 21.3°, d 4.168, I 78
hkl 3 1 0, 25.2°, d 3.534, I 44
hkl 4 0 -2, 27.0°, d 3.305, I 64
hkl 4 0 0, 28.1°, d 3.171, I 92
hkl 0 2 2, 29.6°, d 3.022, I 51
hkl 0 0 6, 31.3°, d 2.857, I 59

Unit cell a=13.257 b=6.462 c=17.947 alpha=90.00 beta=107.24 gamma=90.00
Space group C2/c (No. 15)
One atom of each set of equivalent atoms:
Cs  0.181  0.009  0.064 (multiplicity 8)
Au  0.000  0.167  0.250 (multiplicity 4)
Au  0.000  0.335  0.750 (multiplicity 4)
C  0.024  0.445  0.412 (multiplicity 8)
C  0.226  0.054  0.348 (multiplicity 8)
S  0.026  0.310  0.884 (multiplicity 8)
S  0.180  0.177  0.264 (multiplicity 8)
N  0.025  0.274  0.434 (multiplicity 8)
N  0.238  0.479  0.090 (multiplicity 8)

Record 2
Simulated PXRD pattern of Sc4CuAuC2 for Cu Kα, from DFT lattice parameters and positions (GGA-PBE).
Peak positions follow from Bragg's law for the DFT cell and can differ from measured ones.

Top 10 peaks for 10 to 90 degrees two-theta, low angle first:
hkl 0 0 2, 13.4°, d 6.589, I 31
hkl 1 0 0, 30.4°, d 2.944, I 29
hkl 1 0 1, 31.1°, d 2.873, I 26
hkl 1 0 2, 33.3°, d 2.688, I 25
hkl 1 0 3, 36.7°, d 2.446, I 100
hkl 0 0 6, 41.1°, d 2.196, I 20
hkl 1 0 6, 51.9°, d 1.760, I 16
hkl 1 1 0, 53.9°, d 1.700, I 22
hkl 2 0 3, 67.1°, d 1.396, I 16
hkl 1 1 6, 70.0°, d 1.344, I 18

Unit cell a=3.3994 b=3.3994 c=13.1788 alpha=90.00 beta=90.00 gamma=120.00
Space group P-6m2 (No. 187)
One atom of each set of equivalent atoms:
Sc  0.0000  0.0000  0.1527 (multiplicity 2)
Sc  0.3333  0.6667  0.3350 (multiplicity 2)
Cu  0.3333  0.6667  0.0000 (multiplicity 1)
Au  0.0000  0.0000  0.5000 (multiplicity 1)
C  0.6667  0.3333  0.2451 (multiplicity 2)